Record 1
# RbNiC2BrN2
Theoretical powder diffractogram, Cu Kα X-rays. Input: a DFT-relaxed cell (GGA-PBE, the Materials Project).
Intensities are scaled so that the largest is 100.

Peak list (10 most intense, 2θ = 5–70°, by angle)
index	2θ/deg	I/Imax
1 1 0	17.68	29.6
1 1 2	22.98	43.6
2 0 0	25.10	100.0
2 0 2	29.14	69.2
0 0 4	29.38	63.5
2 2 0	35.79	70.4
2 0 4	39.02	53.3
2 2 4	46.96	53.9
4 2 0	58.14	25.6
4 2 4	66.48	31.4

Atomic structure:
```
data_RbNiC2BrN2
_chemical_formula_sum 'Rb4 Ni4 C8 Br4 N8'
_cell_length_a 7.0954
_cell_length_b 7.0954
_cell_length_c 12.1589
_cell_angle_alpha 90.00
_cell_angle_beta 90.00
_cell_angle_gamma 90.00
_space_group_name_H-M_alt 'I 4/m m m'
_space_group_IT_number 139
_space_group_name_Hall '-I 4 2'
loop_
_atom_site_label
_atom_site_type_symbol
_atom_site_fract_x
_atom_site_fract_y
_atom_site_fract_z
Rb1 Rb 0.0000 0.5000 0.2500
Ni1 Ni 0.0000 0.0000 0.0000
Ni2 Ni 0.0000 0.0000 0.5000
C1 C 0.1836 0.1836 0.0000
Br1 Br 0.0000 0.0000 0.2767
N1 N 0.1996 0.1996 0.5000
```

=====

Record 2
# CsSb4F13
Theoretical powder diffractogram, Cu Kα X-rays. Input: a DFT-relaxed cell (GGA-PBE, the Materials Project).
Intensities are scaled so that the largest is 100.

Peak list (10 most intense, 2θ = 5–70°, by angle)
index	2θ/deg	I/Imax
2 1 1	23.50	100.0
2 2 0	25.03	16.9
0 0 2	25.42	24.0
2 3 1	34.60	16.9
4 0 0	35.69	15.8
3 1 2	38.21	17.4
1 2 3	43.67	14.8
4 0 2	44.33	21.6
2 5 1	50.56	21.9
5 2 3	63.79	13.7

Atomic structure:
```
data_CsSb4F13
_chemical_formula_sum 'Cs2 Sb8 F26'
_cell_length_a 10.0617
_cell_length_b 10.0617
_cell_length_c 7.0066
_cell_angle_alpha 90.00
_cell_angle_beta 90.00
_cell_angle_gamma 90.00
_space_group_name_H-M_alt 'I 4/m'
_space_group_IT_number 87
_space_group_name_Hall '-I 4'
loop_
_atom_site_label
_atom_site_type_symbol
_atom_site_fract_x
_atom_site_fract_y
_atom_site_fract_z
Cs1 Cs 0.0000 0.0000 0.0000
Sb1 Sb 0.0029 0.7272 0.5000
F1 F 0.0000 0.0000 0.5000
F2 F 0.0692 0.6153 0.0000
F3 F 0.1097 0.2076 0.2914
```

=====

Record 3
# Pb3O4
Theoretical powder diffractogram, Cu Kα X-rays. Input: a DFT-relaxed cell (GGA-PBE, the Materials Project).
Intensities are scaled so that the largest is 100.

Peak list (10 most intense, 2θ = 5–70°, by angle)
index	2θ/deg	I/Imax
2 0 0	25.79	78.0
1 3 0	29.45	100.0
1 1 1	29.97	75.2
0 2 1	31.08	66.2
2 2 1	40.81	78.1
3 3 0	47.81	30.3
3 1 1	48.15	22.9
1 5 1	53.98	51.7
1 3 2	61.17	35.4
4 2 1	62.74	21.3

Atomic structure:
```
data_Pb3O4
_chemical_formula_sum 'Pb6 O8'
_cell_length_a 6.9094
_cell_length_b 10.1250
_cell_length_c 3.4973
_cell_angle_alpha 90.00
_cell_angle_beta 90.00
_cell_angle_gamma 90.00
_space_group_name_H-M_alt 'P b a m'
_space_group_IT_number 55
_space_group_name_Hall '-P 2 2ab'
loop_
_atom_site_label
_atom_site_type_symbol
_atom_site_fract_x
_atom_site_fract_y
_atom_site_fract_z
Pb1 Pb 0.0000 0.0000 0.0000
Pb2 Pb 0.0178 0.3070 0.5000
O1 O 0.1494 0.8085 0.0000
O2 O 0.1661 0.0881 0.5000
```

=====

Record 4
# Be2Zn
Theoretical powder diffractogram, Cu Kα X-rays. Input: a DFT-relaxed cell (GGA-PBE, the Materials Project).
Intensities are scaled so that the largest is 100.

Peak list (10 most intense, 2θ = 5–70°, by angle)
index	2θ/deg	I/Imax
0 0 2	15.08	100.0
0 0 4	30.44	22.5
1 1 1	42.03	34.9
0 2 0	42.49	13.3
0 2 2	45.34	13.2
0 0 6	46.37	10.0
1 1 3	47.63	37.5
0 2 4	53.16	9.0
1 1 5	57.58	11.9
0 2 6	64.70	7.0

Atomic structure:
```
data_Be2Zn
_chemical_formula_sum 'Be8 Zn4'
_cell_length_a 2.5491
_cell_length_b 4.2549
_cell_length_c 11.7479
_cell_angle_alpha 90.00
_cell_angle_beta 90.00
_cell_angle_gamma 90.00
_space_group_name_H-M_alt 'F m m m'
_space_group_IT_number 69
_space_group_name_Hall '-F 2 2'
loop_
_atom_site_label
_atom_site_type_symbol
_atom_site_fract_x
_atom_site_fract_y
_atom_site_fract_z
Be1 Be 0.0000 0.0000 0.1762
Zn1 Zn 0.0000 0.0000 0.5000
```

=====

Record 5
# PrRuO3
Theoretical powder diffractogram, Cu Kα X-rays. Input: a DFT-relaxed cell (GGA-PBE, the Materials Project).
Intensities are scaled so that the largest is 100.

Peak list (10 most intense, 2θ = 5–70°, by angle)
index	2θ/deg	I/Imax
1 1 1	24.97	14.9
2 0 0	29.85	18.3
1 2 1	31.94	100.0
0 0 2	33.30	21.5
2 0 2	45.32	15.3
0 4 0	46.25	12.9
2 1 2	46.85	8.5
3 1 1	50.12	12.4
0 4 2	58.17	9.9
1 2 3	58.65	17.8

Atomic structure:
```
data_PrRuO3
_chemical_formula_sum 'Pr4 Ru4 O12'
_cell_length_a 5.9866
_cell_length_b 7.8523
_cell_length_c 5.3809
_cell_angle_alpha 90.00
_cell_angle_beta 90.00
_cell_angle_gamma 90.00
_space_group_name_H-M_alt 'P n m a'
_space_group_IT_number 62
_space_group_name_Hall '-P 2ac 2n'
loop_
_atom_site_label
_atom_site_type_symbol
_atom_site_fract_x
_atom_site_fract_y
_atom_site_fract_z
Pr1 Pr 0.0754 0.2500 0.0269
Ru1 Ru 0.0000 0.0000 0.5000
O1 O 0.0365 0.7500 0.3944
O2 O 0.1974 0.5510 0.8157
```

=====

Record 6
# Li7SiPO8
Theoretical powder diffractogram, Cu Kα X-rays. Input: a DFT-relaxed cell (GGA-PBE, the Materials Project).
Intensities are scaled so that the largest is 100.

Peak list (10 most intense, 2θ = 5–70°, by angle)
index	2θ/deg	I/Imax
0 0 2	16.75	55.1
1 0 1	19.11	25.3
0 1 2	21.53	100.0
1 1 0	22.03	95.8
1 0 2	23.91	25.2
0 2 2	31.99	76.8
0 0 4	33.88	27.1
1 1 -3	34.10	22.1
2 0 0	35.18	51.2
0 2 -6	59.43	32.5

Atomic structure:
```
data_Li7SiPO8
_chemical_formula_sum 'Li14 Si2 P2 O16'
_cell_length_a 5.1036
_cell_length_b 6.5912
_cell_length_c 10.5873
_cell_angle_alpha 89.90
_cell_angle_beta 88.51
_cell_angle_gamma 89.76
_space_group_name_H-M_alt 'P 1'
_space_group_IT_number 1
_space_group_name_Hall 'P 1'
loop_
_atom_site_label
_atom_site_type_symbol
_atom_site_fract_x
_atom_site_fract_y
_atom_site_fract_z
Li1 Li 0.0000 0.0000 0.0000
Li2 Li 0.0043 0.3178 0.7553
Li3 Li 0.1796 0.2402 0.2349
Li4 Li 0.1891 0.0053 0.4856
Li5 Li 0.2068 0.5519 0.4801
Li6 Li 0.4046 0.5612 0.1699
Li7 Li 0.4583 0.0719 0.8540
Li8 Li 0.4789 0.8954 0.1197
Li9 Li 0.4979 0.5189 0.8517
Li10 Li 0.6833 0.0452 0.3348
Li11 Li 0.7218 0.4855 0.3341
Li12 Li 0.7251 0.6621 0.6101
Li13 Li 0.7850 0.9976 0.6763
Li14 Li 0.9990 0.5611 0.0032
Si1 Si 0.7038 0.2794 0.0785
Si2 Si 0.9975 0.7759 0.2481
P1 P 0.1945 0.7818 0.7433
P2 P 0.4932 0.2748 0.5853
O1 O 0.0273 0.2792 0.0717
O2 O 0.0725 0.9867 0.3232
O3 O 0.0738 0.7796 0.6080
O4 O 0.0914 0.9792 0.8091
O5 O 0.0992 0.5626 0.3156
O6 O 0.1131 0.5857 0.8148
O7 O 0.1345 0.7795 0.1045
O8 O 0.1886 0.2788 0.5914
O9 O 0.5013 0.7890 0.7382
O10 O 0.5753 0.2767 0.2250
O11 O 0.5846 0.4664 0.5114
O12 O 0.5869 0.0760 0.5205
O13 O 0.6105 0.2768 0.7226
O14 O 0.6109 0.4920 0.0111
O15 O 0.6207 0.0725 0.0023
O16 O 0.6727 0.7648 0.2510
```

=====

Record 7
# NaCu
Theoretical powder diffractogram, Cu Kα X-rays. Input: a DFT-relaxed cell (GGA-PBE, the Materials Project).
Intensities are scaled so that the largest is 100.

Peak list (9 most intense, 2θ = 5–70°, by angle)
index	2θ/deg	I/Imax
0 0 1	17.88	38.9
0 0 2	36.22	29.6
1 0 0	36.58	36.4
1 0 1	41.00	100.0
1 0 2	52.42	24.4
0 0 3	55.58	1.9
1 1 0	65.85	13.5
1 0 3	68.39	19.2
1 1 1	68.85	5.6

Atomic structure:
```
data_NaCu
_chemical_formula_sum 'Na1 Cu1'
_cell_length_a 2.8366
_cell_length_b 2.8366
_cell_length_c 4.9604
_cell_angle_alpha 90.00
_cell_angle_beta 90.00
_cell_angle_gamma 120.00
_space_group_name_H-M_alt 'P -6 m 2'
_space_group_IT_number 187
_space_group_name_Hall 'P -6 2'
loop_
_atom_site_label
_atom_site_type_symbol
_atom_site_fract_x
_atom_site_fract_y
_atom_site_fract_z
Na1 Na 0.0000 0.0000 0.0000
Cu1 Cu 0.3333 0.6667 0.5000
```

=====

Record 8
# TaNCl6
Theoretical powder diffractogram, Cu Kα X-rays. Input: a DFT-relaxed cell (GGA-PBE, the Materials Project).
Intensities are scaled so that the largest is 100.

Peak list (10 most intense, 2θ = 5–70°, by angle)
index	2θ/deg	I/Imax
0 0 2	14.53	70.7
2 0 0	14.66	70.6
1 1 -1	16.51	100.0
1 1 1	17.82	64.9
2 0 -2	18.37	27.2
2 0 2	22.80	16.9
1 1 -3	25.63	24.2
3 1 -1	25.78	17.8
3 1 -5	41.47	17.2
1 3 3	49.21	25.1

Atomic structure:
```
data_TaNCl6
_chemical_formula_sum 'Ta4 N4 Cl24'
_cell_length_a 12.3589
_cell_length_b 6.4613
_cell_length_c 12.4743
_cell_angle_alpha 90.00
_cell_angle_beta 102.15
_cell_angle_gamma 90.00
_space_group_name_H-M_alt 'C 1 2/c 1'
_space_group_IT_number 15
_space_group_name_Hall '-C 2yc'
loop_
_atom_site_label
_atom_site_type_symbol
_atom_site_fract_x
_atom_site_fract_y
_atom_site_fract_z
Ta1 Ta 0.2500 0.2500 0.0000
N1 N 0.0000 0.1192 0.2500
Cl1 Cl 0.0822 0.3820 0.8972
Cl2 Cl 0.1561 0.0483 0.5405
Cl3 Cl 0.2146 0.4147 0.1581
```

=====

Record 9
# CsH7C4O10
Theoretical powder diffractogram, Cu Kα X-rays. Input: a DFT-relaxed cell (GGA-PBE, the Materials Project).
Intensities are scaled so that the largest is 100.

Peak list (10 most intense, 2θ = 5–70°, by angle)
index	2θ/deg	I/Imax
0 1 -1	13.88	50.4
1 -1 0	17.26	31.9
1 0 1	17.55	54.9
0 1 -2	19.52	30.6
1 0 -2	19.69	44.9
-1 2 1	27.48	87.6
2 0 -1	28.02	100.0
1 2 0	29.45	32.7
1 2 -2	31.43	34.6
1 2 2	36.29	40.0

Atomic structure:
```
data_CsH7C4O10
_chemical_formula_sum 'Cs2 H14 C8 O20'
_cell_length_a 6.4530
_cell_length_b 7.4964
_cell_length_c 10.9374
_cell_angle_alpha 94.01
_cell_angle_beta 99.85
_cell_angle_gamma 96.46
_space_group_name_H-M_alt 'P -1'
_space_group_IT_number 2
_space_group_name_Hall '-P 1'
loop_
_atom_site_label
_atom_site_type_symbol
_atom_site_fract_x
_atom_site_fract_y
_atom_site_fract_z
Cs1 Cs 0.1550 0.1509 0.2800
H1 H 0.0701 0.3177 0.9099
H2 H 0.1522 0.6486 0.2573
H3 H 0.1608 0.7730 0.0806
H4 H 0.2607 0.2088 0.6192
H5 H 0.2839 0.9998 0.5891
H6 H 0.3453 0.5665 0.7669
H7 H 0.3878 0.0873 0.7680
C1 C 0.2497 0.6779 0.4424
C2 C 0.2798 0.5630 0.5566
C3 C 0.4191 0.9963 0.9386
C4 C 0.4910 0.4533 0.0604
O1 O 0.0715 0.7269 0.1384
O2 O 0.1900 0.5779 0.3355
O3 O 0.2402 0.9106 0.9260
O4 O 0.2532 0.3944 0.5359
O5 O 0.2550 0.0887 0.6536
O6 O 0.2789 0.8442 0.4546
O7 O 0.3279 0.6569 0.6616
O8 O 0.3347 0.3451 0.0667
O9 O 0.3439 0.4967 0.8518
O10 O 0.4969 0.0879 0.8555
```

=====

Record 10
# Pr5Bi3Br
Theoretical powder diffractogram, Cu Kα X-rays. Input: a DFT-relaxed cell (GGA-PBE, the Materials Project).
Intensities are scaled so that the largest is 100.

Peak list (10 most intense, 2θ = 5–70°, by angle)
index	2θ/deg	I/Imax
0 0 2	26.38	18.5
2 1 1	31.06	69.2
3 0 0	31.88	86.8
1 1 2	32.27	100.0
3 1 1	40.89	27.3
2 2 2	46.00	24.8
2 1 3	49.59	20.7
4 1 2	57.06	16.8
4 2 1	59.70	18.3
3 0 4	64.37	23.4

Atomic structure:
```
data_Pr5Bi3Br
_chemical_formula_sum 'Pr10 Bi6 Br2'
_cell_length_a 9.7227
_cell_length_b 9.7227
_cell_length_c 6.7569
_cell_angle_alpha 90.00
_cell_angle_beta 90.00
_cell_angle_gamma 120.00
_space_group_name_H-M_alt 'P 63/m c m'
_space_group_IT_number 193
_space_group_name_Hall '-P 6c 2'
loop_
_atom_site_label
_atom_site_type_symbol
_atom_site_fract_x
_atom_site_fract_y
_atom_site_fract_z
Pr1 Pr 0.0000 0.2735 0.2500
Pr2 Pr 0.3333 0.6667 0.0000
Bi1 Bi 0.0000 0.3841 0.7500
Br1 Br 0.0000 0.0000 0.0000
```

=====

Record 11
# MgTe
Theoretical powder diffractogram, Cu Kα X-rays. Input: a DFT-relaxed cell (GGA-PBE, the Materials Project).
Intensities are scaled so that the largest is 100.

Peak list (10 most intense, 2θ = 5–70°, by angle)
index	2θ/deg	I/Imax
1 0 0	22.26	45.1
0 0 2	23.70	36.9
1 0 1	25.26	100.0
1 0 2	32.74	24.0
1 1 0	39.07	41.0
1 0 3	42.63	43.7
1 1 2	46.21	36.4
2 0 1	47.10	18.4
2 0 3	59.20	16.3
2 1 1	62.80	15.5

Atomic structure:
```
data_MgTe
_chemical_formula_sum 'Mg2 Te2'
_cell_length_a 4.6109
_cell_length_b 4.6109
_cell_length_c 7.5094
_cell_angle_alpha 90.00
_cell_angle_beta 90.00
_cell_angle_gamma 120.00
_space_group_name_H-M_alt 'P 63 m c'
_space_group_IT_number 186
_space_group_name_Hall 'P 6c -2c'
loop_
_atom_site_label
_atom_site_type_symbol
_atom_site_fract_x
_atom_site_fract_y
_atom_site_fract_z
Mg1 Mg 0.3333 0.6667 0.0000
Te1 Te 0.3333 0.6667 0.6238
```

=====

Record 12
# EuGaSi
Theoretical powder diffractogram, Cu Kα X-rays. Input: a DFT-relaxed cell (GGA-PBE, the Materials Project).
Intensities are scaled so that the largest is 100.

Peak list (10 most intense, 2θ = 5–70°, by angle)
index	2θ/deg	I/Imax
1 0 0	24.63	25.4
1 0 1	31.80	100.0
0 0 2	40.24	13.2
1 1 0	43.35	31.9
1 0 2	47.75	8.9
2 0 0	50.49	3.8
2 0 1	54.76	21.1
1 1 2	60.63	23.2
2 0 2	66.45	3.3
1 0 3	67.89	11.0

Atomic structure:
```
data_EuGaSi
_chemical_formula_sum 'Eu1 Ga1 Si1'
_cell_length_a 4.1744
_cell_length_b 4.1744
_cell_length_c 4.4817
_cell_angle_alpha 90.00
_cell_angle_beta 90.00
_cell_angle_gamma 120.00
_space_group_name_H-M_alt 'P -6 m 2'
_space_group_IT_number 187
_space_group_name_Hall 'P -6 2'
loop_
_atom_site_label
_atom_site_type_symbol
_atom_site_fract_x
_atom_site_fract_y
_atom_site_fract_z
Eu1 Eu 0.0000 0.0000 0.0000
Ga1 Ga 0.3333 0.6667 0.5000
Si1 Si 0.6667 0.3333 0.5000
```